# 1
Calculated XRD peak list of RbAl3P6O20 for Cu Kα X-rays, from a crystal structure in the Materials Project, relaxed with GGA-PBE.
No peak broadening, texture or thermal motion is included.

Peak list (10 most intense, 2θ = 5–70°, sorted by position)
hkl  two_theta  I (rel.)
1 1 2  18.43  40
2 2 0  22.33  42
2 0 2  23.05  100
1 3 1  23.42  33
2 2 1  23.53  53
1 3 2  26.72  67
2 2 2  26.82  47
0 0 4  29.56  54
0 4 2  31.07  30
1 3 4  37.29  31

Structure:
abc: 10.027 13.093 12.089
angles: 90.00 90.00 90.00
Space group C222_1 (No. 20)
One atom of each set of equivalent atoms:
1 Rb 0.022 0.000 0.000 (multiplicity 4)
2 Al 0.000 0.208 0.250 (multiplicity 4)
3 Al 0.000 0.254 0.750 (multiplicity 4)
4 Al 0.132 0.500 0.000 (multiplicity 4)
5 P 0.052 0.295 0.489 (multiplicity 8)
6 P 0.230 0.364 0.317 (multiplicity 8)
7 P 0.237 0.432 0.777 (multiplicity 8)
8 O 0.010 0.212 0.407 (multiplicity 8)
9 O 0.035 0.391 0.016 (multiplicity 8)
10 O 0.072 0.253 0.603 (multiplicity 8)
11 O 0.122 0.147 0.798 (multiplicity 8)
12 O 0.127 0.354 0.784 (multiplicity 8)
13 O 0.128 0.104 0.240 (multiplicity 8)
14 O 0.136 0.308 0.242 (multiplicity 8)
15 O 0.193 0.484 0.316 (multiplicity 8)
16 O 0.200 0.336 0.445 (multiplicity 8)
17 O 0.245 0.491 0.888 (multiplicity 8)


# 2
Calculated XRD peak list of Rb3Al2P3O12 for Cu Kα X-rays, from a crystal structure in the Materials Project, relaxed with GGA-PBE.
No peak broadening, texture or thermal motion is included.

Peak list (10 most intense, 2θ = 5–70°, sorted by position)
hkl  two_theta  I (rel.)
0 2 1  22.56  95
1 1 2  22.87  100
5 1 0  27.61  75
0 2 2  28.47  50
4 0 2  28.63  74
4 2 0  28.92  39
4 2 1  30.63  51
1 3 0  30.99  35
1 1 3  32.08  44
6 0 2  36.97  40

Structure:
abc: 17.375 8.778 8.957
angles: 90.00 90.00 90.00
Space group Cmc2_1 (No. 36)
One atom of each set of equivalent atoms:
1 Rb 0.000 0.143 0.000 (multiplicity 4)
2 Rb 0.115 0.453 0.705 (multiplicity 8)
3 Al 0.167 0.153 0.359 (multiplicity 8)
4 P 0.000 0.266 0.425 (multiplicity 4)
5 P 0.205 0.171 0.019 (multiplicity 8)
6 O 0.000 0.195 0.580 (multiplicity 4)
7 O 0.000 0.439 0.422 (multiplicity 4)
8 O 0.071 0.204 0.329 (multiplicity 8)
9 O 0.152 0.304 0.990 (multiplicity 8)
10 O 0.172 0.023 0.949 (multiplicity 8)
11 O 0.211 0.305 0.458 (multiplicity 8)
12 O 0.217 0.136 0.189 (multiplicity 8)


# 3
Calculated XRD peak list of SrAl3PSO14 for Cu Kα X-rays, from a crystal structure in the Materials Project, relaxed with GGA-PBE.
No peak broadening, texture or thermal motion is included.

Peak list (10 most intense, 2θ = 5–70°, sorted by position)
hkl  two_theta  I (rel.)
1 0 1  15.54  68
1 1 0  25.59  48
1 1 3  29.85  100
0 0 6  30.50  13
1 0 7  38.83  41
1 2 2  40.91  16
0 3 3  47.84  39
2 2 0  52.58  22
0 2 10  61.00  21
2 2 6  62.01  11

Structure:
abc: 6.9628 6.9628 17.5857
angles: 90.00 90.00 120.00
Space group R3m (No. 160, hexagonal axes)
One atom of each set of equivalent atoms:
1 Sr 0.0000 0.0000 0.0000 (multiplicity 3)
2 Al 0.0014 0.5007 0.4989 (multiplicity 9)
3 P 0.0000 0.0000 0.6929 (multiplicity 3)
4 S 0.0000 0.0000 0.3061 (multiplicity 3)
5 O 0.0000 0.0000 0.3875 (multiplicity 3)
6 O 0.0000 0.0000 0.6055 (multiplicity 3)
7 O 0.0924 0.5462 0.3912 (multiplicity 9)
8 O 0.1061 0.5530 0.8036 (multiplicity 9)
9 O 0.2169 0.4338 0.9410 (multiplicity 9)
10 O 0.2194 0.4388 0.5301 (multiplicity 9)